Diffraction record for Nb3SnS6. The X-ray diffraction stick pattern is simulated, not measured: it uses the GGA-PBE geometry in Alexandria and Cu Kα X-rays.
Peak positions follow from Bragg's law for the DFT cell and can differ from measured ones.

```
data_Nb3SnS6
_cell_length_a 5.8428
_cell_length_b 5.8428
_cell_length_c 14.6116
_cell_angle_alpha 90.00
_cell_angle_beta 90.00
_cell_angle_gamma 120.00
_space_group_name_H-M_alt 'P 63/m c m'
_space_group_IT_number 193
_space_group_name_Hall '-P 6c 2'
loop_
_atom_site_label
_atom_site_type_symbol
_atom_site_fract_x
_atom_site_fract_y
_atom_site_fract_z
_atom_site_occupancy
Nb1 Nb 0.0000 0.0000 0.2500 1
Nb2 Nb 0.3333 0.6667 0.2500 1
Sn1 Sn 0.0000 0.0000 0.0000 1
S1 S 0.0000 0.3352 0.1429 1
```

The 12 most intense peaks (2θ = 10–80°), sorted by position:
2θ/deg  I/Imax
12.11  60
17.53  22
21.36  29
30.17  13
30.60  39
31.22  14
33.02  14
39.50  100
54.40  28
59.71  15
69.28  18
76.95  16

---

Diffraction record for Nb2Sn2S7. The X-ray diffraction stick pattern is simulated, not measured: it uses the GGA-PBE geometry in Alexandria and Cu Kα X-rays.
Peak positions follow from Bragg's law for the DFT cell and can differ from measured ones.

```
data_Nb2Sn2S7
_cell_length_a 3.529
_cell_length_b 14.452
_cell_length_c 9.049
_cell_angle_alpha 90.00
_cell_angle_beta 90.00
_cell_angle_gamma 90.00
_space_group_name_H-M_alt 'I m m 2'
_space_group_IT_number 44
loop_
_space_group_symop_operation_xyz
'x,y,z'
'-x,-y,z'
'-x,y,z'
'x,-y,z'
'x+1/2,y+1/2,z+1/2'
'-x+1/2,-y+1/2,z+1/2'
'-x+1/2,y+1/2,z+1/2'
'x+1/2,-y+1/2,z+1/2'
loop_
_atom_site_label
_atom_site_type_symbol
_atom_site_fract_x
_atom_site_fract_y
_atom_site_fract_z
_atom_site_occupancy
Nb1 Nb 0.000 0.000 0.000 1
Nb2 Nb 0.000 0.500 0.141 1
Sn1 Sn 0.000 0.180 0.341 1
S1 S 0.000 0.000 0.432 1
S2 S 0.000 0.100 0.782 1
S3 S 0.000 0.326 0.049 1
S4 S 0.000 0.388 0.585 1
```

The 12 most intense peaks (2θ = 10–80°), sorted by position:
2θ/deg  I/Imax
20.89  100
23.20  46
27.12  29
29.86  35
30.27  27
32.52  25
32.78  71
36.97  26
37.32  100
43.36  30
46.75  39
51.61  26

---

Diffraction record for TaNbS6. The X-ray diffraction stick pattern is simulated, not measured: it uses the GGA-PBE geometry in Alexandria and Cu Kα X-rays.
Peak positions follow from Bragg's law for the DFT cell and can differ from measured ones.

```
data_TaNbS6
_cell_length_a 10.096
_cell_length_b 7.044
_cell_length_c 5.911
_cell_angle_alpha 90.00
_cell_angle_beta 124.99
_cell_angle_gamma 90.00
_space_group_name_H-M_alt 'C 1 2/m 1'
_space_group_IT_number 12
loop_
_space_group_symop_operation_xyz
'x,y,z'
'-x,-y,-z'
'-x,y,-z'
'x,-y,z'
'x+1/2,y+1/2,z'
'-x+1/2,-y+1/2,-z'
'-x+1/2,y+1/2,-z'
'x+1/2,-y+1/2,z'
loop_
_atom_site_label
_atom_site_type_symbol
_atom_site_fract_x
_atom_site_fract_y
_atom_site_fract_z
_atom_site_occupancy
Ta1 Ta 0.000 0.000 0.000 1
Nb1 Nb 0.000 0.500 0.500 1
S1 S 0.116 0.249 0.864 1
S2 S 0.246 0.000 0.440 1
```

The 12 most intense peaks (2θ = 10–80°), sorted by position:
2θ/deg  I/Imax
19.61  100
21.49  21
25.29  13
29.08  26
29.42  26
31.56  19
33.42  11
39.82  24
41.38  14
45.46  14
45.92  14
51.23  18

---

Diffraction record for TaNb3S. The X-ray diffraction stick pattern is simulated, not measured: it uses the GGA-PBE geometry in Alexandria and Cu Kα X-rays.
Peak positions follow from Bragg's law for the DFT cell and can differ from measured ones.

```
data_TaNb3S
_cell_length_a 6.611
_cell_length_b 5.193
_cell_length_c 5.341
_cell_angle_alpha 90.00
_cell_angle_beta 90.00
_cell_angle_gamma 90.00
_space_group_name_H-M_alt 'P m n 21'
_space_group_IT_number 31
loop_
_space_group_symop_operation_xyz
'x,y,z'
'-x+1/2,-y,z+1/2'
'-x,y,z'
'x+1/2,-y,z+1/2'
loop_
_atom_site_label
_atom_site_type_symbol
_atom_site_fract_x
_atom_site_fract_y
_atom_site_fract_z
_atom_site_occupancy
Ta1 Ta 0.000 0.188 0.000 1
Nb1 Nb 0.000 0.810 0.625 1
Nb2 Nb 0.250 0.259 0.564 1
S1 S 0.000 0.498 0.313 1
```

The 12 most intense peaks (2θ = 10–80°), sorted by position:
2θ/deg  I/Imax
21.39  11
33.56  22
34.54  20
36.34  100
38.55  9
40.35  15
48.92  15
53.28  8
55.60  10
61.82  10
63.07  9
77.17  8

---

Diffraction record for TaNb6S8. The X-ray diffraction stick pattern is simulated, not measured: it uses the GGA-PBE geometry in Alexandria and Cu Kα X-rays.
Peak positions follow from Bragg's law for the DFT cell and can differ from measured ones.

```
data_TaNb6S8
_cell_length_a 9.1614
_cell_length_b 9.1614
_cell_length_c 11.4130
_cell_angle_alpha 90.00
_cell_angle_beta 90.00
_cell_angle_gamma 120.00
_space_group_name_H-M_alt 'R -3'
_space_group_IT_number 148
_space_group_name_Hall '-R 3'
loop_
_atom_site_label
_atom_site_type_symbol
_atom_site_fract_x
_atom_site_fract_y
_atom_site_fract_z
_atom_site_occupancy
Ta1 Ta 0.0000 0.0000 0.0000 1
Nb1 Nb 0.0269 0.1889 0.3867 1
S1 S 0.0000 0.0000 0.2189 1
S2 S 0.0111 0.6219 0.7566 1
```

The 12 most intense peaks (2θ = 10–80°), sorted by position:
2θ/deg  I/Imax
19.16  42
19.38  52
23.38  47
23.75  62
30.83  77
33.77  79
41.15  52
41.81  100
43.80  66
44.11  47
46.27  61
52.86  31

---

Diffraction record for TaNb2S4. The X-ray diffraction stick pattern is simulated, not measured: it uses the GGA-PBE geometry in Alexandria and Cu Kα X-rays.
Peak positions follow from Bragg's law for the DFT cell and can differ from measured ones.

```
data_TaNb2S4
_cell_length_a 6.118
_cell_length_b 12.004
_cell_length_c 3.260
_cell_angle_alpha 90.00
_cell_angle_beta 90.00
_cell_angle_gamma 90.00
_space_group_name_H-M_alt 'P b a m'
_space_group_IT_number 55
loop_
_space_group_symop_operation_xyz
'x,y,z'
'-x,-y,-z'
'-x,-y,z'
'x,y,-z'
'x+1/2,-y+1/2,-z'
'-x+1/2,y+1/2,z'
'-x+1/2,y+1/2,-z'
'x+1/2,-y+1/2,z'
loop_
_atom_site_label
_atom_site_type_symbol
_atom_site_fract_x
_atom_site_fract_y
_atom_site_fract_z
_atom_site_occupancy
Ta1 Ta 0.000 0.000 0.000 1
Nb1 Nb 0.155 0.344 0.500 1
S1 S 0.047 0.792 0.000 1
S2 S 0.210 0.546 0.500 1
```

The 12 most intense peaks (2θ = 10–80°), sorted by position:
2θ/deg  I/Imax
14.76  22
16.26  48
20.73  30
26.62  56
31.98  100
33.25  21
40.41  63
40.87  36
41.15  20
45.09  29
49.44  27
58.12  23

---

Diffraction record for TaNb2Te4S2. The X-ray diffraction stick pattern is simulated, not measured: it uses the GGA-PBE geometry in Alexandria and Cu Kα X-rays.
Peak positions follow from Bragg's law for the DFT cell and can differ from measured ones.

```
data_TaNb2Te4S2
_cell_length_a 3.5256
_cell_length_b 3.5256
_cell_length_c 22.2903
_cell_angle_alpha 90.00
_cell_angle_beta 90.00
_cell_angle_gamma 120.00
_space_group_name_H-M_alt 'P 3 m 1'
_space_group_IT_number 156
loop_
_space_group_symop_operation_xyz
'x,y,z'
'-y,x-y,z'
'-x+y,-x,z'
'-y,-x,z'
'-x+y,y,z'
'x,x-y,z'
loop_
_atom_site_label
_atom_site_type_symbol
_atom_site_fract_x
_atom_site_fract_y
_atom_site_fract_z
_atom_site_occupancy
Ta1 Ta 0.0000 0.0000 0.0000 1
Nb1 Nb 0.0000 0.0000 0.6539 1
Nb2 Nb 0.6667 0.3333 0.3184 1
Te1 Te 0.0000 0.0000 0.2316 1
Te2 Te 0.0000 0.0000 0.4044 1
Te3 Te 0.6667 0.3333 0.5679 1
Te4 Te 0.6667 0.3333 0.7407 1
S1 S 0.6667 0.3333 0.0678 1
S2 S 0.6667 0.3333 0.9324 1
```

The 12 most intense peaks (2θ = 10–80°), sorted by position:
2θ/deg  I/Imax
11.91  87
19.92  16
29.25  55
29.53  21
31.68  20
33.47  44
35.64  100
40.95  29
44.00  30
51.87  42
64.52  17
74.16  21

---

Diffraction record for Ta6Nb3Te2S3. The X-ray diffraction stick pattern is simulated, not measured: it uses the GGA-PBE geometry in Alexandria and Cu Kα X-rays.
Peak positions follow from Bragg's law for the DFT cell and can differ from measured ones.

```
data_Ta6Nb3Te2S3
_cell_length_a 12.341
_cell_length_b 3.436
_cell_length_c 13.761
_cell_angle_alpha 90.00
_cell_angle_beta 111.89
_cell_angle_gamma 90.00
_space_group_name_H-M_alt 'P 1 21/m 1'
_space_group_IT_number 11
loop_
_space_group_symop_operation_xyz
'x,y,z'
'-x,-y,-z'
'-x,y+1/2,-z'
'x,-y+1/2,z'
loop_
_atom_site_label
_atom_site_type_symbol
_atom_site_fract_x
_atom_site_fract_y
_atom_site_fract_z
_atom_site_occupancy
Ta1 Ta 0.019 0.250 0.091 1
Ta2 Ta 0.044 0.750 0.264 1
Ta3 Ta 0.166 0.750 0.779 1
Ta4 Ta 0.177 0.250 0.951 1
Ta5 Ta 0.215 0.750 0.131 1
Ta6 Ta 0.246 0.250 0.306 1
Nb1 Nb 0.054 0.250 0.438 1
Nb2 Nb 0.406 0.250 0.911 1
Nb3 Nb 0.419 0.250 0.151 1
Te1 Te 0.255 0.750 0.477 1
Te2 Te 0.442 0.750 0.330 1
S1 S 0.109 0.250 0.635 1
S2 S 0.338 0.750 0.011 1
S3 S 0.363 0.750 0.768 1
```

The 12 most intense peaks (2θ = 10–80°), sorted by position:
2θ/deg  I/Imax
35.94  33
36.23  100
37.21  39
39.30  38
40.11  30
40.43  50
41.22  16
42.72  20
53.32  21
66.64  14
66.81  14
67.55  15

---

Diffraction record for Ta2NbTe2S4. The X-ray diffraction stick pattern is simulated, not measured: it uses the GGA-PBE geometry in Alexandria and Cu Kα X-rays.
Peak positions follow from Bragg's law for the DFT cell and can differ from measured ones.

```
data_Ta2NbTe2S4
_cell_length_a 3.4047
_cell_length_b 3.4047
_cell_length_c 21.7101
_cell_angle_alpha 90.00
_cell_angle_beta 90.00
_cell_angle_gamma 120.00
_space_group_name_H-M_alt 'P 3 m 1'
_space_group_IT_number 156
loop_
_space_group_symop_operation_xyz
'x,y,z'
'-y,x-y,z'
'-x+y,-x,z'
'-y,-x,z'
'-x+y,y,z'
'x,x-y,z'
loop_
_atom_site_label
_atom_site_type_symbol
_atom_site_fract_x
_atom_site_fract_y
_atom_site_fract_z
_atom_site_occupancy
Ta1 Ta 0.0000 0.0000 0.0000 1
Ta2 Ta 0.3333 0.6667 0.3115 1
Nb1 Nb 0.3333 0.6667 0.6700 1
Te1 Te 0.0000 0.0000 0.5779 1
Te2 Te 0.0000 0.0000 0.7623 1
S1 S 0.0000 0.0000 0.2406 1
S2 S 0.0000 0.0000 0.3828 1
S3 S 0.3333 0.6667 0.0709 1
S4 S 0.3333 0.6667 0.9287 1
```

The 12 most intense peaks (2θ = 10–80°), sorted by position:
2θ/deg  I/Imax
12.23  100
16.33  25
30.31  36
30.60  15
31.44  16
32.80  19
34.62  24
36.85  73
45.42  29
53.85  25
55.45  13
67.04  12

---

Diffraction record for NbTcS2. The X-ray diffraction stick pattern is simulated, not measured: it uses the GGA-PBE geometry in Alexandria and Cu Kα X-rays.
Peak positions follow from Bragg's law for the DFT cell and can differ from measured ones.

```
data_NbTcS2
_cell_length_a 3.0813
_cell_length_b 3.0813
_cell_length_c 24.2391
_cell_angle_alpha 90.00
_cell_angle_beta 90.00
_cell_angle_gamma 120.00
_space_group_name_H-M_alt 'R -3 m'
_space_group_IT_number 166
_space_group_name_Hall '-R 3 2"'
loop_
_atom_site_label
_atom_site_type_symbol
_atom_site_fract_x
_atom_site_fract_y
_atom_site_fract_z
_atom_site_occupancy
Nb1 Nb 0.0000 0.0000 0.0000 1
Tc1 Tc 0.0000 0.0000 0.5000 1
S1 S 0.0000 0.0000 0.4054 1
```

The 12 most intense peaks (2θ = 10–80°), sorted by position:
2θ/deg  I/Imax
22.00  38
33.79  8
34.41  100
36.80  38
44.87  18
45.28  37
50.89  43
60.05  26
64.12  9
64.76  12
71.08  11
78.00  20

---

Diffraction record for NbTcS4. The X-ray diffraction stick pattern is simulated, not measured: it uses the GGA-PBE geometry in Alexandria and Cu Kα X-rays.
Peak positions follow from Bragg's law for the DFT cell and can differ from measured ones.

```
data_NbTcS4
_cell_length_a 13.779
_cell_length_b 3.245
_cell_length_c 5.795
_cell_angle_alpha 90.00
_cell_angle_beta 101.32
_cell_angle_gamma 90.00
_space_group_name_H-M_alt 'C 1 m 1'
_space_group_IT_number 8
loop_
_space_group_symop_operation_xyz
'x,y,z'
'x,-y,z'
'x+1/2,y+1/2,z'
'x+1/2,-y+1/2,z'
loop_
_atom_site_label
_atom_site_type_symbol
_atom_site_fract_x
_atom_site_fract_y
_atom_site_fract_z
_atom_site_occupancy
Nb1 Nb 0.000 0.000 0.000 1
Tc1 Tc 0.010 0.500 0.409 1
S1 S 0.105 0.500 0.825 1
S2 S 0.131 0.000 0.356 1
S3 S 0.377 0.000 0.070 1
S4 S 0.408 0.500 0.572 1
```

The 12 most intense peaks (2θ = 10–80°), sorted by position:
2θ/deg  I/Imax
13.10  100
31.49  8
31.80  14
35.91  33
36.64  15
39.33  8
44.12  14
46.26  5
48.92  13
55.42  6
56.74  5
60.74  4

---

Diffraction record for NbTeS2. The X-ray diffraction stick pattern is simulated, not measured: it uses the GGA-PBE geometry in Alexandria and Cu Kα X-rays.
Peak positions follow from Bragg's law for the DFT cell and can differ from measured ones.

```
data_NbTeS2
_cell_length_a 3.3228
_cell_length_b 3.3228
_cell_length_c 32.0596
_cell_angle_alpha 90.00
_cell_angle_beta 90.00
_cell_angle_gamma 120.00
_space_group_name_H-M_alt 'R -3 m'
_space_group_IT_number 166
_space_group_name_Hall '-R 3 2"'
loop_
_atom_site_label
_atom_site_type_symbol
_atom_site_fract_x
_atom_site_fract_y
_atom_site_fract_z
_atom_site_occupancy
Nb1 Nb 0.0000 0.0000 0.0000 1
Te1 Te 0.0000 0.0000 0.5000 1
S1 S 0.0000 0.0000 0.3824 1
```

The 12 most intense peaks (2θ = 10–80°), sorted by position:
2θ/deg  I/Imax
16.59  100
31.59  78
33.08  32
33.54  12
38.52  70
42.20  42
50.97  13
55.29  24
55.92  21
58.15  21
69.40  12
78.77  15

---

Diffraction record for Nb2Te4WS2. The X-ray diffraction stick pattern is simulated, not measured: it uses the GGA-PBE geometry in Alexandria and Cu Kα X-rays.
Peak positions follow from Bragg's law for the DFT cell and can differ from measured ones.

```
data_Nb2Te4WS2
_cell_length_a 3.4440
_cell_length_b 3.4440
_cell_length_c 23.5047
_cell_angle_alpha 90.00
_cell_angle_beta 90.00
_cell_angle_gamma 120.00
_space_group_name_H-M_alt 'P 3 m 1'
_space_group_IT_number 156
loop_
_space_group_symop_operation_xyz
'x,y,z'
'-y,x-y,z'
'-x+y,-x,z'
'-y,-x,z'
'-x+y,y,z'
'x,x-y,z'
loop_
_atom_site_label
_atom_site_type_symbol
_atom_site_fract_x
_atom_site_fract_y
_atom_site_fract_z
_atom_site_occupancy
Nb1 Nb 0.0000 0.0000 0.0000 1
Nb2 Nb 0.3333 0.6667 0.3407 1
Te1 Te 0.0000 0.0000 0.2569 1
Te2 Te 0.0000 0.0000 0.4246 1
Te3 Te 0.3333 0.6667 0.0838 1
Te4 Te 0.3333 0.6667 0.9161 1
W1 W 0.3333 0.6667 0.6839 1
S1 S 0.0000 0.0000 0.6204 1
S2 S 0.0000 0.0000 0.7474 1
```

The 12 most intense peaks (2θ = 10–80°), sorted by position:
2θ/deg  I/Imax
11.29  100
18.88  17
29.96  46
30.20  18
32.11  19
33.70  35
35.65  77
37.91  15
40.45  32
43.22  30
53.19  34
73.18  18